Record 1
The following is a theoretical powder diffractogram of RePCl8O. It was derived from a cell relaxed with GGA-PBE, using Cu Kα (λ = 1.5418 Å).

Structural model:
Unit cell a=16.671 b=8.115 c=8.997 alpha=90.00 beta=90.00 gamma=90.00
Space group Pnma (No. 62)
Unique sites:
Re1 0.147 0.250 0.078 (multiplicity 4)
P1 0.076 0.250 0.715 (multiplicity 4)
Cl1 0.030 0.250 0.215 (multiplicity 4)
Cl2 0.034 0.750 0.366 (multiplicity 4)
Cl3 0.131 0.055 0.630 (multiplicity 8)
Cl4 0.140 0.531 0.056 (multiplicity 8)
Cl5 0.224 0.250 0.284 (multiplicity 4)
Cl6 0.239 0.750 0.424 (multiplicity 4)
O1 0.073 0.250 0.881 (multiplicity 4)

The 8 most intense peaks (2θ from 10° to 80°), in order of rising 2θ:
11.18°, intensity 30; 15.24°, intensity 100; 15.64°, intensity 67; 18.77°, intensity 34; 20.45°, intensity 24; 21.91°, intensity 26; 23.23°, intensity 31; 33.45°, intensity 27

***

Record 2
The following is a theoretical powder diffractogram of RePCl6O3. It was derived from a cell relaxed with GGA-PBE, using Cu Kα (λ = 1.5418 Å).

Structural model:
Unit cell a=6.248 b=12.378 c=13.564 alpha=90.00 beta=99.60 gamma=90.00
Space group P2_1/c (No. 14)
Unique sites:
Re1 0.116 0.207 0.001 (multiplicity 4)
P1 0.410 0.098 0.675 (multiplicity 4)
Cl1 0.040 0.185 0.167 (multiplicity 4)
Cl2 0.157 0.664 0.012 (multiplicity 4)
Cl3 0.186 0.034 0.746 (multiplicity 4)
Cl4 0.397 0.023 0.347 (multiplicity 4)
Cl5 0.414 0.696 0.728 (multiplicity 4)
Cl6 0.429 0.114 0.059 (multiplicity 4)
O1 0.039 0.601 0.551 (multiplicity 4)
O2 0.215 0.238 0.401 (multiplicity 4)
O3 0.318 0.150 0.578 (multiplicity 4)

The 8 most intense peaks (2θ from 10° to 80°), in order of rising 2θ:
13.24°, intensity 77; 14.33°, intensity 100; 16.07°, intensity 88; 17.88°, intensity 66; 19.54°, intensity 100; 20.34°, intensity 60; 21.18°, intensity 45; 30.38°, intensity 59

***

Record 3
The following is a theoretical powder diffractogram of PdPb2Se2Cl2O6. It was derived from a cell relaxed with GGA-PBE, using Cu Kα (λ = 1.5418 Å).

Structural model:
Unit cell a=8.308 b=5.284 c=13.085 alpha=90.00 beta=124.41 gamma=90.00
Space group P2_1/c (No. 14)
Unique sites:
Pd1 0.000 0.000 0.000 (multiplicity 2)
Pb1 0.332 0.051 0.805 (multiplicity 4)
Se1 0.288 0.029 0.522 (multiplicity 4)
Cl1 0.058 0.575 0.693 (multiplicity 4)
O1 0.170 0.194 0.579 (multiplicity 4)
O2 0.433 0.239 0.021 (multiplicity 4)
O3 0.439 0.625 0.162 (multiplicity 4)

The 8 most intense peaks (2θ from 10° to 80°), in order of rising 2θ:
19.93°, intensity 33; 21.47°, intensity 31; 25.34°, intensity 76; 26.52°, intensity 35; 27.86°, intensity 34; 28.07°, intensity 100; 30.05°, intensity 42; 33.93°, intensity 31